Simulated powder X-ray diffraction pattern of Be17RuW for Cu Ka, from a structure optimized by DFT (GGA-PBE).

Cell and atoms:
```
data_Be17RuW
_chemical_formula_sum 'Be17 Ru1 W1'
_cell_length_a 5.4706
_cell_length_b 5.4706
_cell_length_c 5.4706
_cell_angle_alpha 83.00
_cell_angle_beta 83.00
_cell_angle_gamma 83.00
_symmetry_space_group_name_H-M 'P 1'
_symmetry_Int_Tables_number 1
loop_
_symmetry_equiv_pos_as_xyz
'x,y,z'
loop_
_atom_site_label
_atom_site_fract_x
_atom_site_fract_y
_atom_site_fract_z
Be1 0.0506 0.0506 0.0506
Be2 0.1500 0.4577 0.8541
Be3 0.1500 0.8541 0.4577
Be4 0.1611 0.1611 0.6484
Be5 0.1611 0.6484 0.1611
Be6 0.2537 0.2537 0.2537
Be7 0.3030 0.8039 0.8039
Be8 0.4577 0.1500 0.8541
Be9 0.4577 0.8541 0.1500
Be10 0.5070 0.5070 0.9861
Be11 0.5070 0.9861 0.5070
Be12 0.6484 0.1611 0.1611
Be13 0.8039 0.3030 0.8039
Be14 0.8039 0.8039 0.3030
Be15 0.8541 0.1500 0.4577
Be16 0.8541 0.4577 0.1500
Be17 0.9861 0.5070 0.5070
Ru1 0.8173 0.8173 0.8173
W1 0.4923 0.4923 0.4923
```

Top 10 peaks for 5° ≤ 2θ ≤ 70°, in order of rising 2θ:
2theta, I (rel.)
16.42, 83
21.99, 38
24.56, 100
25.28, 32
29.69, 23
35.54, 91
38.90, 22
43.23, 32
50.34, 24
50.74, 45